No. 1
Starting from the GGA-PBE geometry in Alexandria, the X-ray powder pattern of Pr3Nd4Ho2 was computed for CuKα.
Lines closer than 0.1° are merged.

Largest 8 diffraction maxima, by intensity, 10° ≤ 2θ ≤ 90°:
2θ/deg  I/Imax
29.90  100
34.66  45
49.89  40
29.98  33
59.29  29
34.73  22
59.14  19
83.69  11

Structural model:
```
9
Lattice="6.3264 0.0000 0.0000 3.1593 5.4863 0.0000 0.0194 3.6303 8.9728" Properties=species:S:1:pos:R:3 pbc="T T T"
Pr 0.0000 0.0000 0.0000
Pr 4.2190 3.6526 3.0053
Pr 5.2861 5.4641 5.9674
Nd 1.0649 1.8329 2.9995
Nd 3.1598 1.8144 0.0003
Nd 6.3453 7.3023 8.9725
Nd 8.4402 7.2838 5.9732
Ho 2.1189 3.6415 5.9665
Ho 7.3862 5.4751 3.0063
```



No. 2
Starting from the GGA-PBE geometry in Alexandria, the X-ray powder pattern of SbPbSI2 was computed for CuKα.
Lines closer than 0.1° are merged.

Largest 8 diffraction maxima, by intensity, 10° ≤ 2θ ≤ 90°:
2θ/deg  I/Imax
28.04  100
31.87  45
54.47  32
47.06  30
75.79  20
33.70  20
45.69  17
57.96  16

Structural model:
```
5
Lattice="5.6160 0.0000 0.0000 0.0000 5.6160 0.0000 0.0000 0.0000 5.3193" Properties=species:S:1:pos:R:3 pbc="T T T"
Sb 0.0000 0.0000 0.0000
Pb 2.8080 2.8080 0.0000
S 0.0000 0.0000 2.6596
I 0.0000 2.8080 2.6596
I 2.8080 0.0000 2.6596
```



No. 3
Starting from the GGA-PBE geometry in Alexandria, the X-ray powder pattern of BaAc3Tl2 was computed for CuKα.
Lines closer than 0.1° are merged.

Largest 8 diffraction maxima, by intensity, 10° ≤ 2θ ≤ 90°:
2θ/deg  I/Imax
28.66  100
29.86  57
27.15  42
30.80  36
26.41  26
52.27  19
34.27  18
40.28  17

Structural model:
```
12
Lattice="9.1495 -2.9924 0.0000 9.1495 2.9924 0.0000 -4.4098 0.0000 9.0130" Properties=species:S:1:pos:R:3 pbc="T T T"
Ba 1.5242 0.0000 1.7622
Ba 12.3650 0.0000 7.2507
Ac -1.9657 0.0000 6.4433
Ac 5.7020 0.0000 0.0352
Ac 4.8460 0.0000 4.2947
Ac 9.0431 0.0000 4.7183
Ac 8.1872 0.0000 8.9778
Ac 15.8548 0.0000 2.5697
Tl 1.4645 0.0000 5.5133
Tl 5.1934 0.0000 7.5565
Tl 8.6957 0.0000 1.4564
Tl 12.4246 0.0000 3.4996
```